Entry 1:
Li12Cu2Pt: computed powder X-ray diffraction pattern (Cu Kα), based on a DFT-relaxed cell (PBE, Alexandria).
Peak positions follow from Bragg's law for the DFT cell and can differ from measured ones.

Largest 8 diffraction maxima, most intense first, 2θ from 10° to 90°:
2θ/deg  I_rel
18.3  100
19.4  86
26.8  77
14.5  62
19.0  61
43.1  54
23.5  40
38.6  39

```
15
Lattice="2.7092 0.0000 0.0000 0.0000 4.8398 0.0000 0.0000 0.0000 18.2784" Properties=species:S:1:pos:R:3 pbc="T T T"
Li 0.0000 0.0000 1.2196
Li 0.0000 0.0000 17.0588
Li 0.0000 1.1876 9.1392
Li 0.0000 3.6522 9.1392
Li 1.3546 0.0000 3.9929
Li 1.3546 0.0000 6.5210
Li 1.3546 0.0000 11.7574
Li 1.3546 0.0000 14.2855
Li 1.3546 2.4199 2.2566
Li 1.3546 2.4199 6.7923
Li 1.3546 2.4199 11.4861
Li 1.3546 2.4199 16.0219
Cu 0.0000 2.4199 4.6163
Cu 0.0000 2.4199 13.6621
Pt 0.0000 2.4199 0.0000
```

=====

Entry 2:
Nd5Y2Th3: computed powder X-ray diffraction pattern (Cu Kα), based on a DFT-relaxed cell (PBE, Alexandria).
Peak positions follow from Bragg's law for the DFT cell and can differ from measured ones.

Largest 8 diffraction maxima, most intense first, 2θ from 10° to 90°:
2θ/deg  I_rel
30.2  100
34.8  17
35.0  17
35.2  17
59.6  15
60.0  14
59.9  14
62.8  12

```
10
Lattice="5.7567 -2.5521 0.0000 5.7567 2.5521 0.0000 -0.0456 0.0000 11.4647" Properties=species:S:1:pos:R:3 pbc="T T T"
Nd 0.0000 0.0000 0.0000
Nd 2.2817 0.0000 4.6009
Nd 3.4746 0.0000 1.1821
Nd 7.9931 0.0000 10.2825
Nd 9.1860 0.0000 6.8638
Y 4.5840 0.0000 9.1011
Y 6.8837 0.0000 2.3635
Th 1.0878 0.0000 7.9953
Th 5.7338 0.0000 5.7323
Th 10.3798 0.0000 3.4694
```